Diffraction record for Ti15NbO32. The XRD peak list is theoretical, not measured: it uses a crystal structure in the Materials Project, relaxed with PBE and copper Kα.

Most intense lines, 2θ from 15° to 90°, in order of rising 2θ:
| two_theta | I (rel.) | index |
| --- | --- | --- |
| 25.0 | 100 | 2 0 1 |
| 37.1 | 21 | 0 0 4 |
| 38.1 | 9 | 2 2 2 |
| 47.6 | 29 | 4 0 0 |
| 53.0 | 19 | 2 0 5 |
| 54.5 | 19 | 4 2 1 |
| 61.8 | 15 | 4 0 4 |
| 73.9 | 12 | 4 2 5 |

Structure:
```
Ti15NbO32
1.0
7.646 0.000 0.000
0.000 7.646 0.000
0.000 0.000 9.694
Ti Nb O
15 1 32
Direct
0.000 0.000 0.000
0.000 0.249 0.250
0.000 0.500 0.003
0.000 0.751 0.250
0.245 0.500 0.744
0.248 0.248 0.500
0.248 0.752 0.500
0.249 0.000 0.750
0.500 0.000 0.997
0.500 0.245 0.256
0.500 0.755 0.256
0.751 0.000 0.750
0.752 0.248 0.500
0.752 0.752 0.500
0.755 0.500 0.744
0.500 0.500 0.000
0.000 0.000 0.207
0.000 0.000 0.793
0.000 0.250 0.043
0.000 0.250 0.457
0.000 0.500 0.207
0.000 0.500 0.792
0.000 0.750 0.043
0.000 0.750 0.457
0.247 0.500 0.956
0.250 0.000 0.543
0.250 0.000 0.957
0.250 0.250 0.293
0.250 0.250 0.707
0.250 0.500 0.543
0.250 0.750 0.293
0.250 0.750 0.707
0.500 0.000 0.208
0.500 0.000 0.793
0.500 0.247 0.044
0.500 0.250 0.457
0.500 0.500 0.210
0.500 0.500 0.790
0.500 0.750 0.457
0.500 0.753 0.044
0.750 0.000 0.543
0.750 0.000 0.957
0.750 0.250 0.293
0.750 0.250 0.707
0.750 0.500 0.543
0.750 0.750 0.293
0.750 0.750 0.707
0.753 0.500 0.956
```